(1)
Structure and computed XRD peak list of AcNd6Er2 (the GGA-PBE geometry in Alexandria; Cu Kα, 1.54184 Å).
Neutral-atom scattering factors, no anomalous dispersion.

```
data_AcNd6Er2
_space_group_name_H-M_alt 'I b a m'
_space_group_IT_number 72
_space_group_name_Hall '-I 2 2c'
_cell_length_a 5.815
_cell_length_b 10.032
_cell_length_c 21.554
_cell_angle_alpha 90.00
_cell_angle_beta 90.00
_cell_angle_gamma 90.00
loop_
_atom_site_label
_atom_site_fract_x
_atom_site_fract_y
_atom_site_fract_z
Ac1 0.000 0.000 0.250
Nd1 0.000 0.000 0.079
Nd2 0.001 0.333 0.162
Er1 0.001 0.333 0.500
```

Largest 10 diffraction maxima, by angle, 10° ≤ 2θ ≤ 90°:
d 2.923, rel. 92.6, hkl 0 2 6
d 2.902, rel. 100.0, hkl 2 0 0
d 2.059, rel. 34.5, hkl 2 2 6
d 1.796, rel. 7.9, hkl 0 0 12
d 1.680, rel. 24.2, hkl 3 1 6
d 1.677, rel. 25.7, hkl 3 3 0
d 1.527, rel. 27.3, hkl 2 0 12
d 1.449, rel. 8.2, hkl 2 6 0
d 1.226, rel. 8.9, hkl 3 3 12
d 1.097, rel. 9.9, hkl 4 6 0

***

(2)
Structure and computed XRD peak list of Ac12Nd7Er (the GGA-PBE geometry in Alexandria; Cu Kα, 1.54184 Å).
Neutral-atom scattering factors, no anomalous dispersion.

```
data_Ac12Nd7Er
_space_group_name_H-M_alt 'R -3 m'
_space_group_IT_number 166
_space_group_name_Hall '-R 3 2"'
_cell_length_a 20.8539
_cell_length_b 20.8539
_cell_length_c 6.7003
_cell_angle_alpha 90.00
_cell_angle_beta 90.00
_cell_angle_gamma 120.00
loop_
_atom_site_label
_atom_site_fract_x
_atom_site_fract_y
_atom_site_fract_z
Ac1 0.0000 0.4123 0.0000
Ac2 0.1026 0.5513 0.4825
Nd1 0.0000 0.0000 0.0000
Nd2 0.0810 0.1619 0.3107
Er1 0.0000 0.0000 0.5000
```

Largest 10 diffraction maxima, by angle, 10° ≤ 2θ ≤ 90°:
d 4.012, rel. 26.0, hkl 1 3 1
d 3.524, rel. 34.4, hkl 3 2 1
d 3.476, rel. 45.3, hkl 3 3 0
d 3.179, rel. 100.0, hkl 0 5 1
d 3.141, rel. 64.0, hkl 2 0 2
d 2.920, rel. 59.2, hkl 5 1 1
d 2.892, rel. 49.1, hkl 5 2 0
d 2.456, rel. 35.5, hkl 5 0 2
d 2.085, rel. 25.7, hkl 5 5 0
d 2.044, rel. 40.1, hkl 0 7 2